# Na5CrP2O8F2
Theoretical XRD peak list, λ = 1.5418 Å (Cu Kα). Input: the PBE+U geometry in the Materials Project.
No peak broadening, texture or thermal motion is included.

Atomic structure:
```
Na5CrP2O8F2
1.0
10.716 0.000 0.000
-5.358 9.280 0.000
0.000 0.000 6.766
Na Cr P O F
15 3 6 24 6
Direct
0.000 0.000 0.000
0.000 0.000 0.500
0.000 0.500 0.000
0.144 0.316 0.740
0.172 0.856 0.740
0.316 0.172 0.260
0.333 0.667 0.484
0.333 0.667 0.927
0.500 0.000 0.000
0.500 0.500 0.000
0.667 0.333 0.073
0.667 0.333 0.516
0.684 0.828 0.740
0.828 0.144 0.260
0.856 0.684 0.260
0.000 0.500 0.500
0.500 0.000 0.500
0.500 0.500 0.500
0.183 0.369 0.249
0.186 0.817 0.249
0.369 0.186 0.751
0.631 0.814 0.249
0.814 0.183 0.751
0.817 0.631 0.751
0.075 0.653 0.288
0.095 0.202 0.254
0.107 0.905 0.254
0.137 0.433 0.426
0.171 0.431 0.050
0.202 0.107 0.746
0.260 0.829 0.050
0.296 0.863 0.426
0.347 0.422 0.288
0.422 0.075 0.712
0.431 0.260 0.950
0.433 0.296 0.574
0.567 0.704 0.426
0.569 0.740 0.050
0.578 0.925 0.288
0.653 0.578 0.712
0.704 0.137 0.574
0.740 0.171 0.950
0.798 0.893 0.254
0.829 0.569 0.950
0.863 0.567 0.574
0.893 0.095 0.746
0.905 0.798 0.746
0.925 0.347 0.712
0.141 0.623 0.702
0.377 0.519 0.702
0.481 0.859 0.702
0.519 0.141 0.298
0.623 0.481 0.298
0.859 0.377 0.298
```

Top 10 peaks for 10 to 90 degrees two-theta, in order of rising 2θ:
d/Å	Position (°2θ)	I (rel.)
6.766	13.08	29
3.827	23.24	71
3.179	28.07	23
2.734	32.76	76
2.679	33.45	100
2.435	36.91	24
1.913	47.52	58
1.557	59.36	32
1.547	59.78	22
1.430	65.23	26